Entry 1:
Calculated X-ray powder pattern of Sc5Cu2Pd5 for CuKα, from a PBE-relaxed structure.

Atomic structure:
```
Sc5Cu2Pd5
1.0
2.2614 1.3056 11.8867
-2.2614 1.3056 11.8867
0.0000 -2.6113 11.8867
Sc Cu Pd
5 2 5
Direct
0.0000 0.0000 0.0000 Sc
0.1412 0.1412 0.1412 Sc
0.4028 0.4028 0.4028 Sc
0.5972 0.5972 0.5972 Sc
0.8588 0.8588 0.8588 Sc
0.0703 0.0703 0.0703 Cu
0.9297 0.9297 0.9297 Cu
0.2237 0.2237 0.2237 Pd
0.3053 0.3053 0.3053 Pd
0.5000 0.5000 0.5000 Pd
0.6947 0.6947 0.6947 Pd
0.7763 0.7763 0.7763 Pd
```

The 10 most intense peaks (10 to 90 degrees two-theta), sorted by position:
Position (°2θ)  I (rel.)
24.8  148
34.0  231
36.0  508
39.9  1000
40.1  303
42.3  196
54.8  145
69.8  136
72.4  158
86.0  100

=====

Entry 2:
Calculated X-ray powder pattern of TlHg5Pb2 for CuKα, from a PBE-relaxed structure.

Atomic structure:
```
TlHg5Pb2
1.0
4.7277 0.0000 0.0000
0.0000 4.7277 0.0000
0.0000 0.0000 20.3496
Tl Hg Pb
2 10 4
Direct
0.0000 0.0000 0.0000 Tl
0.5000 0.5000 0.5000 Tl
0.0000 0.0000 0.5000 Hg
0.0000 0.5000 0.1231 Hg
0.0000 0.5000 0.3769 Hg
0.0000 0.5000 0.6231 Hg
0.0000 0.5000 0.8769 Hg
0.5000 0.0000 0.1231 Hg
0.5000 0.0000 0.3769 Hg
0.5000 0.0000 0.6231 Hg
0.5000 0.0000 0.8769 Hg
0.5000 0.5000 0.0000 Hg
0.0000 0.0000 0.2625 Pb
0.0000 0.0000 0.7375 Pb
0.5000 0.5000 0.2375 Pb
0.5000 0.5000 0.7625 Pb
```

The 10 most intense peaks (10 to 90 degrees two-theta), sorted by position:
Position (°2θ)  I (rel.)
32.0  1000
35.3  180
38.1  326
52.9  231
54.9  115
61.3  131
65.0  272
67.0  115
86.9  106
87.0  44

=====

Entry 3:
Calculated X-ray powder pattern of LiDy2HfS6 for CuKα, from a PBE-relaxed structure.

Atomic structure:
```
LiDy2HfS6
1.0
6.7036 0.0000 0.0000
3.3491 5.8089 0.0000
3.3396 1.9331 5.9579
Li Dy Hf S
1 2 1 6
Direct
0.0000 0.0000 0.0000 Li
0.2020 0.2012 0.3958 Dy
0.7089 0.7075 0.8772 Dy
0.5119 0.5115 0.4653 Hf
0.1405 0.3970 0.6928 S
0.2947 0.8927 0.1952 S
0.3981 0.7700 0.6929 S
0.6184 0.2937 0.1952 S
0.7711 0.1397 0.6928 S
0.8933 0.6175 0.1962 S
```

The 10 most intense peaks (10 to 90 degrees two-theta), sorted by position:
Position (°2θ)  I (rel.)
16.0  539
18.2  684
25.1  861
26.6  883
30.6  457
36.9  415
40.5  1000
46.1  397
46.9  511
53.6  323

=====

Entry 4:
Calculated X-ray powder pattern of BaTa2MoW for CuKα, from a PBE-relaxed structure.

Atomic structure:
```
BaTa2MoW
1.0
4.9479 0.0000 0.0000
0.0000 4.9479 0.0000
0.0000 0.0000 5.6931
Ba Ta Mo W
1 2 1 1
Direct
0.0000 0.0000 0.0000 Ba
0.0000 0.5000 0.5000 Ta
0.5000 0.0000 0.5000 Ta
0.5000 0.5000 0.0000 Mo
0.0000 0.0000 0.5000 W
```

The 10 most intense peaks (10 to 90 degrees two-theta), sorted by position:
Position (°2θ)  I (rel.)
15.6  617
17.9  444
30.0  933
31.4  736
36.3  1000
39.7  255
48.8  867
52.3  465
61.5  239
62.3  417

=====

What is the formula in the fourth record? BaTa2MoW

=====

Which formula does entry 4 have? BaTa2MoW